Theoretical powder diffractogram of Er2ZnNiIr for Cu Kα, from DFT lattice parameters and positions (GGA-PBE).

The 8 most intense peaks (5 to 70 degrees two-theta), in order of rising 2θ:
- 2θ 26.74, I 37.5
- 2θ 34.73, I 100.0
- 2θ 36.77, I 25.9
- 2θ 39.30, I 43.6
- 2θ 39.51, I 42.4
- 2θ 40.62, I 68.3
- 2θ 43.36, I 35.8
- 2θ 59.94, I 25.6

Crystal structure
a = 4.174 Å, b = 8.171 Å, c = 5.540 Å
α = 90.00°, β = 90.00°, γ = 90.00°
Space group Imm2 (No. 44)
Unique sites:
Er (0.000, 0.202, 0.000) [4 per cell]
Zn (0.000, 0.000, 0.506) [2 per cell]
Ni (0.000, 0.500, 0.255) [2 per cell]
Ir (0.000, 0.500, 0.717) [2 per cell]

Theoretical powder diffractogram of FeGeAu for Cu Kα, from DFT lattice parameters and positions (GGA-PBE).

The 8 most intense peaks (5 to 70 degrees two-theta), in order of rising 2θ:
- 2θ 25.40, I 89.1
- 2θ 29.41, I 4.5
- 2θ 42.07, I 100.0
- 2θ 49.79, I 44.6
- 2θ 52.16, I 1.5
- 2θ 61.02, I 16.4
- 2θ 67.18, I 18.4
- 2θ 69.16, I 2.2

Crystal structure
a = 6.074 Å, b = 6.074 Å, c = 6.074 Å
α = 90.00°, β = 90.00°, γ = 90.00°
Space group F-43m (No. 216)
Unique sites:
Fe (0.000, 0.000, 0.000) [4 per cell]
Ge (0.000, 0.000, 0.500) [4 per cell]
Au (0.250, 0.250, 0.250) [4 per cell]

Theoretical powder diffractogram of Ta6Fe7 for Cu Kα, from DFT lattice parameters and positions (GGA-PBE).

The 8 most intense peaks (5 to 70 degrees two-theta), in order of rising 2θ:
- 2θ 21.40, I 15.8
- 2θ 37.04, I 100.0
- 2θ 39.95, I 71.7
- 2θ 42.40, I 72.0
- 2θ 42.97, I 43.6
- 2θ 43.17, I 22.8
- 2θ 66.76, I 18.3
- 2θ 68.71, I 29.2

Crystal structure
a = 4.8542 Å, b = 4.8542 Å, c = 26.7514 Å
α = 90.00°, β = 90.00°, γ = 120.00°
Space group R-3m (No. 166, hexagonal axes)
Unique sites:
Ta (0.0000, 0.0000, 0.0495) [6 per cell]
Ta (0.0000, 0.0000, 0.1530) [6 per cell]
Ta (0.0000, 0.0000, 0.3344) [6 per cell]
Fe (0.0000, 0.0000, 0.5000) [3 per cell]
Fe (0.9998, 0.4999, 0.0920) [18 per cell]

Theoretical powder diffractogram of Ag4NF for Cu Kα, from DFT lattice parameters and positions (GGA-PBE).

The 8 most intense peaks (5 to 70 degrees two-theta), in order of rising 2θ:
- 2θ 21.13, I 48.8
- 2θ 21.49, I 42.8
- 2θ 28.28, I 28.2
- 2θ 36.80, I 30.7
- 2θ 37.47, I 22.7
- 2θ 38.44, I 100.0
- 2θ 38.65, I 40.7
- 2θ 49.89, I 35.3

Crystal structure
a = 5.6397 Å, b = 5.6397 Å, c = 8.2682 Å
α = 90.00°, β = 90.00°, γ = 120.00°
Space group P6_3mc (No. 186)
Unique sites:
Ag (0.1629, 0.3258, 0.0000) [6 per cell]
Ag (0.3333, 0.6667, 0.2743) [2 per cell]
N (0.3333, 0.6667, 0.8431) [2 per cell]
F (0.3333, 0.6667, 0.5390) [2 per cell]

Theoretical powder diffractogram of Er3Fe8Ni for Cu Kα, from DFT lattice parameters and positions (GGA-PBE).

The 8 most intense peaks (5 to 70 degrees two-theta), in order of rising 2θ:
- 2θ 20.71, I 14.4
- 2θ 33.02, I 51.7
- 2θ 35.68, I 58.0
- 2θ 36.08, I 37.6
- 2θ 41.61, I 37.2
- 2θ 42.31, I 100.0
- 2θ 62.42, I 17.0
- 2θ 68.65, I 22.6

Crystal structure
a = 5.0322 Å, b = 5.0322 Å, c = 24.2630 Å
α = 90.00°, β = 90.00°, γ = 120.00°
Space group R-3m (No. 166, hexagonal axes)
Unique sites:
Er (0.0000, 0.0000, 0.0000) [3 per cell]
Er (0.0000, 0.0000, 0.1419) [6 per cell]
Fe (0.0000, 0.0000, 0.3330) [6 per cell]
Fe (0.0020, 0.5010, 0.9184) [18 per cell]
Ni (0.0000, 0.0000, 0.5000) [3 per cell]

Theoretical powder diffractogram of SbIr7 for Cu Kα, from DFT lattice parameters and positions (GGA-PBE).

The 8 most intense peaks (5 to 70 degrees two-theta), in order of rising 2θ:
- 2θ 5.82, I 100.0
- 2θ 40.03, I 60.5
- 2θ 40.20, I 75.9
- 2θ 42.79, I 12.8
- 2θ 46.34, I 38.8
- 2θ 47.33, I 18.8
- 2θ 48.64, I 8.7
- 2θ 68.40, I 24.6

Crystal structure
a = 2.781 Å, b = 3.841 Å, c = 30.374 Å
α = 90.00°, β = 90.00°, γ = 90.00°
Space group Pmmn (No. 59, origin choice 2)
Unique sites:
Sb (0.250, 0.250, 0.157) [2 per cell]
Ir (0.250, 0.250, 0.254) [2 per cell]
Ir (0.250, 0.250, 0.343) [2 per cell]
Ir (0.250, 0.250, 0.433) [2 per cell]
Ir (0.250, 0.250, 0.522) [2 per cell]
Ir (0.250, 0.250, 0.612) [2 per cell]
Ir (0.250, 0.250, 0.702) [2 per cell]
Ir (0.250, 0.250, 0.792) [2 per cell]

Theoretical powder diffractogram of CuBiAsF for Cu Kα, from DFT lattice parameters and positions (GGA-PBE).

The 8 most intense peaks (5 to 70 degrees two-theta), in order of rising 2θ:
- 2θ 22.87, I 82.5
- 2θ 28.31, I 63.0
- 2θ 30.27, I 94.5
- 2θ 32.13, I 54.0
- 2θ 36.70, I 46.1
- 2θ 38.29, I 100.0
- 2θ 46.73, I 53.2
- 2θ 56.71, I 45.7

Crystal structure
a = 8.967 Å, b = 17.732 Å, c = 3.888 Å
α = 90.00°, β = 90.00°, γ = 90.00°
Space group Pbam (No. 55)
Unique sites:
Cu (0.148, 0.210, 0.000) [4 per cell]
Cu (0.176, 0.599, 0.000) [4 per cell]
Bi (0.054, 0.739, 0.500) [4 per cell]
Bi (0.202, 0.906, 0.500) [4 per cell]
As (0.027, 0.571, 0.500) [4 per cell]
As (0.150, 0.124, 0.500) [4 per cell]
F (0.164, 0.976, 0.000) [4 per cell]
F (0.232, 0.332, 0.000) [4 per cell]

Theoretical powder diffractogram of Gd2Y5Hg for Cu Kα, from DFT lattice parameters and positions (GGA-PBE).

The 8 most intense peaks (5 to 70 degrees two-theta), in order of rising 2θ:
- 2θ 29.07, I 24.7
- 2θ 32.09, I 24.5
- 2θ 33.30, I 100.0
- 2θ 43.84, I 16.0
- 2θ 51.53, I 18.9
- 2θ 57.98, I 20.1
- 2θ 62.01, I 21.6
- 2θ 62.74, I 15.6

Crystal structure
a = 5.578 Å, b = 7.094 Å, c = 12.289 Å
α = 90.00°, β = 90.00°, γ = 90.00°
Space group Amm2 (No. 38)
Unique sites:
Gd (0.000, 0.000, 0.000) [2 per cell]
Gd (0.500, 0.000, 0.343) [2 per cell]
Y (0.000, 0.000, 0.505) [2 per cell]
Y (0.000, 0.245, 0.757) [4 per cell]
Y (0.500, 0.244, 0.586) [4 per cell]
Hg (0.500, 0.000, 0.836) [2 per cell]

Theoretical powder diffractogram of Ag2Te4O11 for Cu Kα, from DFT lattice parameters and positions (GGA-PBE).

The 8 most intense peaks (5 to 70 degrees two-theta), in order of rising 2θ:
- 2θ 28.01, I 65.6
- 2θ 28.22, I 100.0
- 2θ 28.58, I 40.6
- 2θ 29.57, I 88.5
- 2θ 30.98, I 25.5
- 2θ 31.25, I 34.0
- 2θ 31.78, I 38.3
- 2θ 34.13, I 47.1

Crystal structure
a = 7.300 Å, b = 7.412 Å, c = 9.636 Å
α = 95.66°, β = 94.43°, γ = 119.46°
Space group P-1 (No. 2)
Unique sites:
Ag (0.001, 0.318, 0.141) [2 per cell]
Ag (0.224, 0.216, 0.484) [2 per cell]
Te (0.004, 0.180, 0.829) [2 per cell]
Te (0.224, 0.714, 0.502) [2 per cell]
Te (0.492, 0.684, 0.811) [2 per cell]
Te (0.493, 0.189, 0.813) [2 per cell]
O (0.067, 0.812, 0.366) [2 per cell]
O (0.070, 0.437, 0.394) [2 per cell]
O (0.205, 0.104, 0.733) [2 per cell]
O (0.220, 0.502, 0.863) [2 per cell]
O (0.222, 0.140, 0.232) [2 per cell]
O (0.224, 0.739, 0.115) [2 per cell]
O (0.382, 0.173, 0.994) [2 per cell]
O (0.385, 0.884, 0.793) [2 per cell]
O (0.393, 0.581, 0.613) [2 per cell]
O (0.400, 0.507, 0.161) [2 per cell]
O (0.466, 0.814, 0.384) [2 per cell]

Theoretical powder diffractogram of SmZn3NiPd for Cu Kα, from DFT lattice parameters and positions (GGA-PBE).

The 8 most intense peaks (5 to 70 degrees two-theta), in order of rising 2θ:
- 2θ 28.86, I 31.7
- 2θ 33.94, I 33.0
- 2θ 39.39, I 26.9
- 2θ 40.34, I 100.0
- 2θ 43.08, I 25.6
- 2θ 55.95, I 15.6
- 2θ 59.79, I 15.4
- 2θ 65.07, I 23.6

Crystal structure
a = 5.2829 Å, b = 5.2829 Å, c = 4.1990 Å
α = 90.00°, β = 90.00°, γ = 120.00°
Space group P-6m2 (No. 187)
Unique sites:
Sm (0.0000, 0.0000, 0.0000) [1 per cell]
Zn (0.0079, 0.5040, 0.5000) [3 per cell]
Ni (0.3333, 0.6667, 0.0000) [1 per cell]
Pd (0.6667, 0.3333, 0.0000) [1 per cell]

Theoretical powder diffractogram of ZrP2Cl2O6 for Cu Kα, from DFT lattice parameters and positions (GGA-PBE).

The 8 most intense peaks (5 to 70 degrees two-theta), in order of rising 2θ:
- 2θ 25.00, I 100.0
- 2θ 31.02, I 71.5
- 2θ 39.81, I 39.0
- 2θ 40.25, I 28.5
- 2θ 51.31, I 25.0
- 2θ 51.67, I 27.0
- 2θ 63.73, I 18.7
- 2θ 64.67, I 16.8

Crystal structure
a = 5.7655 Å, b = 5.7655 Å, c = 5.0811 Å
α = 90.00°, β = 90.00°, γ = 120.00°
Space group P-3m1 (No. 164)
Unique sites:
Zr (0.0000, 0.0000, 0.0000) [1 per cell]
P (0.3333, 0.6667, 0.2786) [2 per cell]
Cl (0.3333, 0.6667, 0.6646) [2 per cell]
O (0.1852, 0.3704, 0.2005) [6 per cell]

Theoretical powder diffractogram of In7Pd3 for Cu Kα, from DFT lattice parameters and positions (GGA-PBE).

The 8 most intense peaks (5 to 70 degrees two-theta), in order of rising 2θ:
- 2θ 29.57, I 26.6
- 2θ 32.46, I 39.4
- 2θ 35.15, I 40.9
- 2θ 40.04, I 100.0
- 2θ 46.57, I 18.3
- 2θ 57.91, I 19.2
- 2θ 59.66, I 13.8
- 2θ 63.06, I 14.0

Crystal structure
a = 9.554 Å, b = 9.554 Å, c = 9.554 Å
α = 90.00°, β = 90.00°, γ = 90.00°
Space group Im-3m (No. 229)
Unique sites:
In (0.000, 0.250, 0.500) [12 per cell]
In (0.162, 0.162, 0.162) [16 per cell]
Pd (0.000, 0.000, 0.348) [12 per cell]